Calculated X-ray diffraction stick pattern
Compound: Dy3In4Co2
Radiation: Cu Ka
Structure: the GGA-PBE geometry in the Materials Project

Most intense lines, 15 to 90 degrees two-theta, by angle:
two_theta, I/Imax
33.79, 100
34.78, 65
36.33, 55
39.62, 32
43.19, 25
50.89, 16
54.84, 15
63.12, 23
64.99, 28
66.35, 13

a b c (Å): 7.880 7.880 3.589
angles (deg): 90.00 90.00 120.00
Element x y z (fractional)
Dy: 0.041 0.417 0.000
Dy: 0.376 0.959 0.000
Dy: 0.583 0.624 0.000
In: 0.255 0.252 0.500
In: 0.667 0.333 0.500
In: 0.748 0.003 0.500
In: 0.997 0.745 0.500
Co: 0.000 0.000 0.000
Co: 0.333 0.667 0.500

***

Calculated X-ray diffraction stick pattern
Compound: DyIn5Co
Radiation: Cu Ka
Structure: the GGA-PBE geometry in the Materials Project

Most intense lines, 15 to 90 degrees two-theta, by angle:
two_theta, I/Imax
30.15, 49
36.05, 21
36.78, 100
39.46, 55
54.51, 25
57.02, 22
65.87, 10
69.31, 26
69.82, 29
84.92, 8

a b c (Å): 4.567 4.567 7.474
angles (deg): 90.00 90.00 90.00
Element x y z (fractional)
Dy: 0.000 0.000 0.000
In: 0.000 0.500 0.305
In: 0.000 0.500 0.695
In: 0.500 0.000 0.305
In: 0.500 0.000 0.695
In: 0.500 0.500 0.000
Co: 0.000 0.000 0.500

***

Calculated X-ray diffraction stick pattern
Compound: Dy8In3Co
Radiation: Cu Ka
Structure: the GGA-PBE geometry in the Materials Project

Most intense lines, 15 to 90 degrees two-theta, by angle:
two_theta, I/Imax
29.21, 30
30.86, 17
32.46, 100
34.53, 82
48.13, 21
59.58, 9
59.89, 12
60.57, 10
61.87, 9
64.31, 16

a b c (Å): 10.389 10.389 6.983
angles (deg): 90.00 90.00 120.00
Element x y z (fractional)
Dy: 0.000 0.000 0.279
Dy: 0.000 0.000 0.779
Dy: 0.068 0.534 0.289
Dy: 0.177 0.355 0.000
Dy: 0.177 0.823 0.000
Dy: 0.333 0.667 0.680
Dy: 0.355 0.177 0.500
Dy: 0.466 0.534 0.289
Dy: 0.466 0.932 0.289
Dy: 0.534 0.068 0.789
Dy: 0.534 0.466 0.789
Dy: 0.645 0.823 0.000
Dy: 0.667 0.333 0.180
Dy: 0.823 0.177 0.500
Dy: 0.823 0.645 0.500
Dy: 0.932 0.466 0.789
In: 0.164 0.328 0.537
In: 0.164 0.836 0.537
In: 0.328 0.164 0.037
In: 0.672 0.836 0.537
In: 0.836 0.164 0.037
In: 0.836 0.672 0.037
Co: 0.333 0.667 0.067
Co: 0.667 0.333 0.567

***

- What is the formula in the third record?
  Dy8In3Co

***

What did the third record say?
Calculated X-ray diffraction stick pattern
Compound: Dy8In3Co
Radiation: Cu Ka
Structure: the GGA-PBE geometry in the Materials Project

Most intense lines, 15 to 90 degrees two-theta, by angle:
two_theta, I/Imax
29.21, 30
30.86, 17
32.46, 100
34.53, 82
48.13, 21
59.58, 9
59.89, 12
60.57, 10
61.87, 9
64.31, 16

a b c (Å): 10.389 10.389 6.983
angles (deg): 90.00 90.00 120.00
Element x y z (fractional)
Dy: 0.000 0.000 0.279
Dy: 0.000 0.000 0.779
Dy: 0.068 0.534 0.289
Dy: 0.177 0.355 0.000
Dy: 0.177 0.823 0.000
Dy: 0.333 0.667 0.680
Dy: 0.355 0.177 0.500
Dy: 0.466 0.534 0.289
Dy: 0.466 0.932 0.289
Dy: 0.534 0.068 0.789
Dy: 0.534 0.466 0.789
Dy: 0.645 0.823 0.000
Dy: 0.667 0.333 0.180
Dy: 0.823 0.177 0.500
Dy: 0.823 0.645 0.500
Dy: 0.932 0.466 0.789
In: 0.164 0.328 0.537
In: 0.164 0.836 0.537
In: 0.328 0.164 0.037
In: 0.672 0.836 0.537
In: 0.836 0.164 0.037
In: 0.836 0.672 0.037
Co: 0.333 0.667 0.067
Co: 0.667 0.333 0.567